Diffraction record for YHoTm2Sc. The X-ray diffraction stick pattern is simulated, not measured: it uses DFT lattice parameters and positions (GGA-PBE) and Cu Kα.

The 12 most intense peaks (2θ = 10–90°), by angle:
2θ (°)  I (rel.)  h k l
13.55  21  1 1 0
27.30  95  2 2 0
30.07  100  0 2 2
32.18  51  0 4 0
33.82  81  2 0 2
34.29  21  3 1 0
36.95  26  1 3 2
41.46  29  3 3 0
43.11  20  3 1 2
47.38  54  2 4 2
59.75  22  2 2 4
68.60  21  3 7 0

Atomic structure:
```
data_YHoTm2Sc
_cell_length_a 8.0717
_cell_length_b 11.1258
_cell_length_c 7.0298
_cell_angle_alpha 90.00
_cell_angle_beta 90.00
_cell_angle_gamma 90.00
_space_group_name_H-M_alt 'C m c m'
_space_group_IT_number 63
_space_group_name_Hall '-C 2c 2'
loop_
_atom_site_label
_atom_site_fract_x
_atom_site_fract_y
_atom_site_fract_z
Y1 0.0000 0.2354 0.2500
Ho1 0.0000 0.2240 0.7500
Tm1 0.1967 0.0000 0.0000
Sc1 0.0000 0.4917 0.7500
```